Computed X-ray powder pattern
Compound: Pr2Ho2Al
Radiation: a wavelength of 1.5418 Å
Structure: a GGA-PBE-relaxed structure

Structural model:
abc: 3.5632 3.5632 23.7330
angles: 90.00 90.00 90.00
Sites, in units of the cell vectors:
Pr (0.0000, 0.0000, 0.1905)
Pr (0.0000, 0.0000, 0.8095)
Pr (0.5000, 0.5000, 0.3095)
Pr (0.5000, 0.5000, 0.6905)
Ho (0.0000, 0.0000, 0.4207)
Ho (0.0000, 0.0000, 0.5793)
Ho (0.5000, 0.5000, 0.0793)
Ho (0.5000, 0.5000, 0.9207)
Al (0.0000, 0.0000, 0.0000)
Al (0.5000, 0.5000, 0.5000)

Peak list (10 most intense, 2θ from 10° to 80°, by angle)
2θ/deg	intensity	index
25.28	13	1 0 1
27.45	29	1 0 3
30.12	20	0 0 8
31.39	100	1 0 5
35.63	46	1 1 0
47.34	23	1 1 8
51.28	16	2 0 0
56.65	21	1 0 13
61.37	29	2 1 5
79.91	15	2 1 13